No. 1
Structure and simulated X-ray diffraction stick pattern of Ce5Sb4As (a cell relaxed with GGA-PBE; λ = 1.5418 Å (Cu Kα)).
Kinematic intensities with the Lorentz-polarization factor, no thermal factor.

Atomic structure:
Unit cell a=15.9625 b=15.9625 c=15.9625 alpha=163.96 beta=163.96 gamma=22.76
Fractional positions:
Ce 0.0000 0.0000 0.0000
Ce 0.2001 0.2001 0.0000
Ce 0.4044 0.4044 0.0000
Ce 0.5956 0.5956 0.0000
Ce 0.7999 0.7999 0.0000
Sb 0.0998 0.0998 0.0000
Sb 0.3015 0.3015 0.0000
Sb 0.6985 0.6985 0.0000
Sb 0.9002 0.9002 0.0000
As 0.5000 0.5000 0.0000

Most intense lines, 10 to 80 degrees two-theta, most intense first:
- 28.33 deg, intensity 100.0
- 40.63 deg, intensity 73.4
- 28.52 deg, intensity 47.9
- 50.27 deg, intensity 39.5
- 40.50 deg, intensity 37.8
- 73.75 deg, intensity 24.9


No. 2
Structure and simulated X-ray diffraction stick pattern of KInTe2 (a cell relaxed with GGA-PBE; λ = 1.5418 Å (Cu Kα)).
Kinematic intensities with the Lorentz-polarization factor, no thermal factor.

Atomic structure:
Unit cell a=8.7939 b=8.7939 c=7.4318 alpha=90.00 beta=90.00 gamma=90.00
Fractional positions:
K 0.0000 0.0000 0.2500
K 0.0000 0.0000 0.7500
K 0.5000 0.5000 0.2500
K 0.5000 0.5000 0.7500
In 0.0000 0.5000 0.2500
In 0.0000 0.5000 0.7500
In 0.5000 0.0000 0.2500
In 0.5000 0.0000 0.7500
Te 0.1752 0.3248 0.0000
Te 0.1752 0.6752 0.5000
Te 0.3248 0.1752 0.5000
Te 0.3248 0.8248 0.0000
Te 0.6752 0.1752 0.0000
Te 0.6752 0.8248 0.5000
Te 0.8248 0.3248 0.5000
Te 0.8248 0.6752 0.0000

Most intense lines, 10 to 80 degrees two-theta, most intense first:
- 25.63 deg, intensity 100.0
- 31.52 deg, intensity 85.2
- 14.24 deg, intensity 48.1
- 28.71 deg, intensity 35.2
- 40.52 deg, intensity 32.6
- 44.18 deg, intensity 31.8